1.
# Mg14AlCO16
Theoretical X-ray powder pattern, λ = 1.5418 Å (Cu Kα). Input: a structure optimized by DFT (GGA-PBE).
Lines closer than 0.1° are merged.

Structural model:
```
Mg14AlCO16
1.0
8.563 0.000 0.000
0.000 8.563 0.000
0.000 0.000 4.201
Mg Al C O
14 1 1 16
Direct
0.000 0.245 0.000
0.000 0.500 0.500
0.000 0.755 0.000
0.243 0.243 0.500
0.243 0.757 0.500
0.245 0.000 0.000
0.248 0.500 0.000
0.500 0.000 0.500
0.500 0.248 0.000
0.500 0.752 0.000
0.752 0.500 0.000
0.755 0.000 0.000
0.757 0.243 0.500
0.757 0.757 0.500
0.500 0.500 0.500
0.000 0.000 0.500
0.000 0.000 0.000
0.000 0.271 0.500
0.000 0.500 0.000
0.000 0.729 0.500
0.250 0.250 0.000
0.250 0.750 0.000
0.271 0.000 0.500
0.272 0.500 0.500
0.500 0.000 0.000
0.500 0.272 0.500
0.500 0.500 0.000
0.500 0.728 0.500
0.728 0.500 0.500
0.729 0.000 0.500
0.750 0.250 0.000
0.750 0.750 0.000
```

Largest 8 diffraction maxima, in order of falling intensity, 15° ≤ 2θ ≤ 90°:
2θ 42.2, I = 100; 2θ 61.9, I = 54; 2θ 43.1, I = 48; 2θ 61.2, I = 27; 2θ 77.8, I = 24; 2θ 36.6, I = 14; 2θ 73.5, I = 7; 2θ 74.7, I = 3

---

2.
# La2Ti2O7
Theoretical X-ray powder pattern, λ = 1.5418 Å (Cu Kα). Input: a structure optimized by DFT (GGA-PBE).
Lines closer than 0.1° are merged.

Structural model:
```
La2Ti2O7
1.0
7.817 0.000 0.000
0.000 5.598 0.000
-1.961 0.000 13.073
La Ti O
8 8 28
Direct
0.147 0.000 0.079
0.227 0.411 0.404
0.280 0.904 0.616
0.351 0.454 0.889
0.649 0.954 0.111
0.720 0.404 0.384
0.773 0.911 0.596
0.853 0.500 0.921
0.032 0.417 0.619
0.076 0.944 0.822
0.417 0.449 0.175
0.473 0.915 0.379
0.527 0.415 0.621
0.583 0.949 0.825
0.924 0.444 0.178
0.968 0.917 0.381
0.028 0.101 0.685
0.037 0.671 0.519
0.086 0.206 0.907
0.107 0.610 0.727
0.122 0.724 0.930
0.174 0.362 0.195
0.223 0.954 0.392
0.273 0.333 0.591
0.328 0.978 0.808
0.383 0.723 0.104
0.404 0.234 0.061
0.437 0.597 0.316
0.473 0.672 0.521
0.493 0.104 0.270
0.507 0.604 0.730
0.527 0.172 0.479
0.563 0.097 0.684
0.596 0.734 0.939
0.617 0.223 0.896
0.672 0.478 0.192
0.727 0.833 0.409
0.777 0.454 0.608
0.826 0.862 0.805
0.878 0.224 0.070
0.893 0.110 0.273
0.914 0.706 0.093
0.963 0.171 0.481
0.972 0.601 0.315
```

Largest 8 diffraction maxima, in order of falling intensity, 15° ≤ 2θ ≤ 90°:
2θ 29.7, I = 100; 2θ 32.8, I = 53; 2θ 20.9, I = 45; 2θ 27.3, I = 44; 2θ 32.0, I = 35; 2θ 46.5, I = 29; 2θ 57.5, I = 29; 2θ 31.7, I = 27

---

3.
# TiBr2
Theoretical X-ray powder pattern, λ = 1.5418 Å (Cu Kα). Input: a structure optimized by DFT (GGA-PBE).
Lines closer than 0.1° are merged.

Structural model:
```
TiBr2
1.0
3.499 0.000 0.000
-1.749 3.030 0.000
0.000 0.000 7.068
Ti Br
1 2
Direct
0.000 0.000 0.000
0.333 0.667 0.761
0.667 0.333 0.239
```

Largest 8 diffraction maxima, in order of falling intensity, 15° ≤ 2θ ≤ 90°:
2θ 32.1, I = 100; 2θ 39.2, I = 44; 2θ 49.0, I = 32; 2θ 52.3, I = 24; 2θ 25.2, I = 19; 2θ 76.6, I = 15; 2θ 62.7, I = 14; 2θ 86.0, I = 12

---

4.
# RbNaMg6
Theoretical X-ray powder pattern, λ = 1.5418 Å (Cu Kα). Input: a structure optimized by DFT (GGA-PBE).
Lines closer than 0.1° are merged.

Structural model:
```
RbNaMg6
1.0
5.479 0.000 0.000
0.000 3.256 6.564
0.000 -3.256 6.564
Rb Na Mg
1 1 6
Direct
0.000 0.000 0.000
0.000 0.493 0.493
0.000 0.494 0.995
0.000 0.995 0.494
0.500 0.137 0.620
0.500 0.173 0.173
0.500 0.620 0.137
0.500 0.656 0.656
```

Largest 8 diffraction maxima, in order of falling intensity, 15° ≤ 2θ ≤ 90°:
2θ 34.8, I = 100; 2θ 31.8, I = 83; 2θ 32.7, I = 46; 2θ 30.6, I = 41; 2θ 22.3, I = 30; 2θ 45.4, I = 30; 2θ 15.2, I = 27; 2θ 21.1, I = 26

---

5.
# MgTi2Zn4O8
Theoretical X-ray powder pattern, λ = 1.5418 Å (Cu Kα). Input: a structure optimized by DFT (GGA-PBE).
Lines closer than 0.1° are merged.

Structural model:
```
MgTi2Zn4O8
1.0
-2.993 3.026 6.387
2.993 -3.026 6.387
2.993 3.026 -6.387
Mg Ti Zn O
1 2 4 8
Direct
0.000 0.000 0.000
0.179 0.425 0.246
0.179 0.933 0.754
0.057 0.815 0.242
0.523 0.523 0.000
0.573 0.815 0.758
0.884 0.384 0.500
0.318 0.057 0.739
0.318 0.580 0.261
0.325 0.129 0.197
0.365 0.655 0.711
0.880 0.081 0.202
0.880 0.678 0.798
0.932 0.129 0.803
0.944 0.655 0.289
```

Largest 8 diffraction maxima, in order of falling intensity, 15° ≤ 2θ ≤ 90°:
2θ 25.6, I = 100; 2θ 33.9, I = 60; 2θ 44.9, I = 45; 2θ 16.4, I = 43; 2θ 25.1, I = 37; 2θ 16.2, I = 34; 2θ 34.2, I = 26; 2θ 35.1, I = 26

---

6.
# Sr2LuTaO6
Theoretical X-ray powder pattern, λ = 1.5418 Å (Cu Kα). Input: a structure optimized by DFT (GGA-PBE).
Lines closer than 0.1° are merged.

Structural model:
```
Sr2LuTaO6
1.0
0.000 4.159 4.159
4.159 0.000 4.159
4.159 4.159 0.000
Sr Lu Ta O
2 1 1 6
Direct
0.250 0.250 0.250
0.750 0.750 0.750
0.000 0.000 0.000
0.500 0.500 0.500
0.260 0.260 0.740
0.260 0.740 0.260
0.260 0.740 0.740
0.740 0.260 0.260
0.740 0.260 0.740
0.740 0.740 0.260
```

Largest 8 diffraction maxima, in order of falling intensity, 15° ≤ 2θ ≤ 90°:
2θ 30.4, I = 100; 2θ 54.0, I = 41; 2θ 43.5, I = 30; 2θ 87.8, I = 22; 2θ 21.4, I = 22; 2θ 63.2, I = 19; 2θ 71.8, I = 18; 2θ 49.0, I = 9

---

7.
# La3Pd4
Theoretical X-ray powder pattern, λ = 1.5418 Å (Cu Kα). Input: a structure optimized by DFT (GGA-PBE).
Lines closer than 0.1° are merged.

Structural model:
```
La3Pd4
1.0
6.999 4.041 1.961
-6.999 4.041 1.961
0.000 -8.082 1.961
La Pd
6 8
Direct
0.029 0.405 0.280
0.280 0.029 0.405
0.405 0.280 0.029
0.595 0.720 0.971
0.720 0.971 0.595
0.971 0.595 0.720
0.000 0.000 0.000
0.058 0.222 0.553
0.222 0.553 0.058
0.447 0.942 0.778
0.500 0.500 0.500
0.553 0.058 0.222
0.778 0.447 0.942
0.942 0.778 0.447
```

Largest 8 diffraction maxima, in order of falling intensity, 15° ≤ 2θ ≤ 90°:
2θ 33.9, I = 100; 2θ 36.3, I = 61; 2θ 30.6, I = 32; 2θ 40.8, I = 16; 2θ 35.7, I = 16; 2θ 50.5, I = 14; 2θ 68.0, I = 13; 2θ 48.2, I = 12

---

8.
# TbYTl2
Theoretical X-ray powder pattern, λ = 1.5418 Å (Cu Kα). Input: a structure optimized by DFT (GGA-PBE).
Lines closer than 0.1° are merged.

Structural model:
```
TbYTl2
1.0
0.000 3.806 3.806
3.806 0.000 3.806
3.806 3.806 0.000
Tb Y Tl
1 1 2
Direct
0.000 0.000 0.000
0.500 0.500 0.500
0.250 0.250 0.250
0.750 0.750 0.750
```

Largest 8 diffraction maxima, in order of falling intensity, 15° ≤ 2θ ≤ 90°:
2θ 33.3, I = 100; 2θ 59.5, I = 38; 2θ 47.8, I = 18; 2θ 79.7, I = 17; 2θ 69.9, I = 12; 2θ 23.4, I = 6; 2θ 89.1, I = 4; 2θ 53.9, I = 3

---

9.
# Rb3EuCl6
Theoretical X-ray powder pattern, λ = 1.5418 Å (Cu Kα). Input: a structure optimized by DFT (GGA-PBE).
Lines closer than 0.1° are merged.

Structural model:
```
Rb3EuCl6
1.0
13.261 -4.053 0.000
13.261 4.053 0.000
-2.173 0.000 12.922
Rb Eu Cl
12 4 24
Direct
0.033 0.659 0.855
0.152 0.525 0.201
0.196 0.705 0.568
0.295 0.804 0.932
0.341 0.967 0.645
0.475 0.848 0.299
0.525 0.152 0.701
0.659 0.033 0.355
0.705 0.196 0.068
0.804 0.295 0.432
0.848 0.475 0.799
0.967 0.341 0.145
0.000 0.500 0.500
0.282 0.718 0.250
0.500 0.000 0.000
0.718 0.282 0.750
0.010 0.109 0.677
0.109 0.010 0.177
0.122 0.218 0.418
0.143 0.356 0.691
0.218 0.122 0.918
0.218 0.663 0.061
0.286 0.365 0.466
0.337 0.782 0.439
0.356 0.143 0.191
0.365 0.286 0.966
0.406 0.475 0.804
0.475 0.406 0.304
0.525 0.594 0.696
0.594 0.525 0.196
0.635 0.714 0.034
0.644 0.857 0.809
0.663 0.218 0.561
0.714 0.635 0.534
0.782 0.337 0.939
0.782 0.878 0.082
0.857 0.644 0.309
0.878 0.782 0.582
0.891 0.990 0.823
0.990 0.891 0.323
```

Largest 8 diffraction maxima, in order of falling intensity, 15° ≤ 2θ ≤ 90°:
2θ 23.1, I = 100; 2θ 31.7, I = 88; 2θ 22.3, I = 71; 2θ 21.9, I = 30; 2θ 32.9, I = 29; 2θ 47.3, I = 28; 2θ 15.7, I = 28; 2θ 30.5, I = 26

---

10.
# LaVGe3
Theoretical X-ray powder pattern, λ = 1.5418 Å (Cu Kα). Input: a structure optimized by DFT (GGA-PBE).
Lines closer than 0.1° are merged.

Structural model:
```
LaVGe3
1.0
6.318 0.000 0.000
-3.159 5.471 0.000
0.000 0.000 5.682
La V Ge
2 2 6
Direct
0.333 0.667 0.250
0.667 0.333 0.750
0.000 0.000 0.000
0.000 0.000 0.500
0.194 0.387 0.750
0.194 0.806 0.750
0.387 0.194 0.250
0.613 0.806 0.750
0.806 0.194 0.250
0.806 0.613 0.250
```

Largest 8 diffraction maxima, in order of falling intensity, 15° ≤ 2θ ≤ 90°:
2θ 36.5, I = 100; 2θ 46.1, I = 29; 2θ 31.5, I = 29; 2θ 59.4, I = 24; 2θ 28.3, I = 20; 2θ 35.6, I = 19; 2θ 58.4, I = 17; 2θ 46.7, I = 13

---

11.
# Cu3As4
Theoretical X-ray powder pattern, λ = 1.5418 Å (Cu Kα). Input: a structure optimized by DFT (GGA-PBE).
Lines closer than 0.1° are merged.

Structural model:
```
Cu3As4
1.0
-1.768 4.262 9.347
1.768 -4.262 9.347
1.768 4.262 -9.347
Cu As
6 8
Direct
0.090 0.931 0.159
0.181 0.181 0.000
0.228 0.069 0.159
0.772 0.931 0.841
0.819 0.819 0.000
0.910 0.069 0.841
0.045 0.339 0.706
0.272 0.772 0.500
0.287 0.500 0.787
0.368 0.661 0.706
0.632 0.339 0.294
0.713 0.500 0.213
0.728 0.228 0.500
0.955 0.661 0.294
```

Largest 8 diffraction maxima, in order of falling intensity, 15° ≤ 2θ ≤ 90°:
2θ 42.4, I = 100; 2θ 22.9, I = 86; 2θ 41.0, I = 84; 2θ 50.6, I = 59; 2θ 36.0, I = 58; 2θ 29.0, I = 45; 2θ 51.7, I = 44; 2θ 33.3, I = 37